For Na2MnPCO7, the GGA+U geometry in the Materials Project gives the theoretical XRD peak list in this record (Cu Kα X-rays).
Lines closer than 0.1° are merged.

Cell and atoms:
abc: 8.4917 8.5390 8.8803
angles: 90.83 90.83 104.71
Space group P1 (No. 1)
Asymmetric unit:
Na (0.0000, 0.0000, 0.0000)
Na (0.9999, 0.4916, 0.5018)
Na (0.2354, 0.2470, 0.4877)
Na (0.2457, 0.7558, 0.9985)
Na (0.4805, 0.4811, 0.0021)
Na (0.5063, 0.9846, 0.4965)
Na (0.7253, 0.2344, 0.0026)
Na (0.8614, 0.6365, 0.1791)
Mn (0.0917, 0.8539, 0.5991)
Mn (0.1286, 0.3865, 0.8957)
Mn (0.6006, 0.3613, 0.5977)
Mn (0.6312, 0.8835, 0.8931)
P (0.3419, 0.0975, 0.8228)
P (0.3822, 0.6377, 0.6684)
P (0.8436, 0.5963, 0.8301)
P (0.8860, 0.1430, 0.6667)
C (0.1028, 0.3592, 0.1738)
C (0.1259, 0.8768, 0.3183)
C (0.6036, 0.8588, 0.1717)
C (0.6319, 0.3829, 0.3168)
O (0.0019, 0.2586, 0.0828)
O (0.0182, 0.7678, 0.3943)
O (0.0306, 0.2992, 0.7028)
O (0.0974, 0.3590, 0.3140)
O (0.1180, 0.8706, 0.1757)
O (0.1895, 0.9456, 0.7934)
O (0.2138, 0.4676, 0.0999)
O (0.2283, 0.9808, 0.4015)
O (0.2539, 0.6955, 0.5752)
O (0.2820, 0.2249, 0.9149)
O (0.3116, 0.5714, 0.8235)
O (0.4085, 0.1623, 0.6681)
O (0.4369, 0.5040, 0.5807)
O (0.4692, 0.0395, 0.9170)
O (0.5061, 0.7564, 0.0775)
O (0.5184, 0.2800, 0.3916)
O (0.5295, 0.7873, 0.7048)
O (0.5977, 0.8555, 0.3101)
O (0.6317, 0.3870, 0.1740)
O (0.6912, 0.4476, 0.7955)
O (0.7155, 0.9675, 0.0972)
O (0.7412, 0.4794, 0.4006)
O (0.7537, 0.1991, 0.5771)
O (0.7869, 0.7235, 0.9266)
O (0.8193, 0.0698, 0.8198)
O (0.9181, 0.6612, 0.6802)
O (0.9581, 0.0264, 0.5737)
O (0.9639, 0.5361, 0.9336)

Largest 6 diffraction maxima, by angle, 2θ = 15–90°:
2θ/deg	d [Å]	I (rel.)	index
16.51	5.369	76.2	-1 1 1
26.08	3.416	65.8	1 1 -2
26.44	3.371	100.0	2 -2 0
33.40	2.683	73.8	-2 2 2
34.50	2.600	73.8	2 2 0
54.42	1.686	40.7	4 -4 0